[1]
# Sr2RuC2
Theoretical powder diffraction line list, Cu Ka. Input: a crystal structure in Alexandria, relaxed with GGA-PBE.

Structure:
```
Sr2RuC2
1.0
-4.3538 5.0070 2.6097
4.3538 -5.0070 2.6097
4.3538 5.0070 -2.6097
Sr Ru C
4 2 4
Direct
0.1354 0.1898 0.3253
0.3646 0.6898 0.0544
0.6354 0.3102 0.9456
0.8646 0.8102 0.6747
0.2500 0.7500 0.5000
0.7500 0.2500 0.5000
0.0980 0.6322 0.7302
0.4020 0.1322 0.5341
0.5980 0.8678 0.4659
0.9020 0.3678 0.2698
```

Top 10 peaks for 10° ≤ 2θ ≤ 80°, in order of rising 2θ:
2θ = 13.48°, I = 68
2θ = 26.71°, I = 100
2θ = 28.14°, I = 45
2θ = 28.64°, I = 46
2θ = 32.11°, I = 55
2θ = 37.07°, I = 35
2θ = 40.29°, I = 42
2θ = 41.61°, I = 37
2θ = 50.52°, I = 33
2θ = 54.71°, I = 34

---

[2]
# HoSc5Hg3
Theoretical powder diffraction line list, Cu Ka. Input: a crystal structure in Alexandria, relaxed with GGA-PBE.

Structure:
```
HoSc5Hg3
1.0
8.6055 0.0000 0.0000
-4.3028 7.4526 0.0000
0.0000 0.0000 6.5184
Ho Sc Hg
2 10 6
Direct
0.0000 0.0000 0.0000
0.0000 0.0000 0.5000
0.0000 0.3397 0.2500
0.0000 0.6603 0.7500
0.3333 0.6667 0.0000
0.3333 0.6667 0.5000
0.3397 0.0000 0.2500
0.3397 0.3397 0.7500
0.6603 0.0000 0.7500
0.6603 0.6603 0.2500
0.6667 0.3333 0.0000
0.6667 0.3333 0.5000
0.0000 0.3323 0.7500
0.0000 0.6677 0.2500
0.3323 0.0000 0.7500
0.3323 0.3323 0.2500
0.6677 0.0000 0.2500
0.6677 0.6677 0.7500
```

Top 10 peaks for 10° ≤ 2θ ≤ 80°, in order of rising 2θ:
2θ = 11.87°, I = 18
2θ = 24.79°, I = 85
2θ = 34.52°, I = 89
2θ = 36.16°, I = 100
2θ = 44.34°, I = 20
2θ = 45.93°, I = 25
2θ = 50.85°, I = 29
2θ = 58.49°, I = 18
2θ = 63.98°, I = 29
2θ = 68.91°, I = 30